No. 1
This entry pairs a crystal structure of B7C5 with its calculated PXRD pattern. Radiation: Cu Kα (weighted mean of Kα1 and Kα2). Structure: a crystal structure in Alexandria, relaxed with PBE.
Lines closer than 0.1° are merged.

Top 10 peaks for 2θ = 15–90°, low angle first:
d_spacing  Rel. int.
3.917  19
3.711  16
2.824  14
2.262  100
2.179  93
1.385  10
1.374  25
1.357  22
1.311  12
1.144  7

Structural model:
```
B7C5
1.0
3.860 0.000 0.000
0.000 3.917 0.000
-1.618 0.000 5.648
B C
7 5
Direct
0.000 0.000 0.000 B
0.220 0.298 0.874 B
0.228 0.588 0.363 B
0.341 0.010 0.646 B
0.659 0.010 0.354 B
0.772 0.588 0.637 B
0.780 0.298 0.126 B
0.000 0.789 0.500 C
0.338 0.794 0.156 C
0.500 0.302 0.500 C
0.500 0.573 0.000 C
0.662 0.794 0.844 C
```

No. 2
This entry pairs a crystal structure of Er4PuSe5 with its calculated PXRD pattern. Radiation: Cu Kα (weighted mean of Kα1 and Kα2). Structure: a crystal structure in Alexandria, relaxed with PBE.
Lines closer than 0.1° are merged.

Top 10 peaks for 2θ = 15–90°, low angle first:
d_spacing  Rel. int.
3.321  14
3.302  14
2.868  100
2.038  13
2.027  50
2.020  12
1.661  13
1.651  13
1.282  22
1.168  13

Structural model:
```
Er4PuSe5
1.0
-2.038 2.865 10.102
2.038 -2.865 10.102
2.038 2.865 -10.102
Er Pu Se
4 1 5
Direct
0.099 0.099 0.000 Er
0.301 0.301 0.000 Er
0.699 0.699 0.000 Er
0.901 0.901 0.000 Er
0.500 0.500 0.000 Pu
0.000 0.500 0.500 Se
0.200 0.700 0.500 Se
0.397 0.897 0.500 Se
0.603 0.103 0.500 Se
0.800 0.300 0.500 Se
```

No. 3
This entry pairs a crystal structure of ThAlGaNi with its calculated PXRD pattern. Radiation: Cu Kα (weighted mean of Kα1 and Kα2). Structure: a crystal structure in Alexandria, relaxed with PBE.
Lines closer than 0.1° are merged.

Top 10 peaks for 2θ = 15–90°, low angle first:
d_spacing  Rel. int.
3.480  62
3.258  61
2.674  26
2.664  100
2.385  42
2.058  63
1.748  14
1.630  58
1.463  20
1.277  20

Structural model:
```
ThAlGaNi
1.0
2.058 1.188 5.348
-2.058 1.188 5.348
0.000 -2.377 5.348
Th Al Ga Ni
1 1 1 1
Direct
0.000 0.000 0.000 Th
0.795 0.795 0.795 Al
0.208 0.208 0.208 Ga
0.498 0.498 0.498 Ni
```

No. 4
This entry pairs a crystal structure of PuTh2Si2Rh7 with its calculated PXRD pattern. Radiation: Cu Kα (weighted mean of Kα1 and Kα2). Structure: a crystal structure in Alexandria, relaxed with PBE.
Lines closer than 0.1° are merged.

Top 10 peaks for 2θ = 15–90°, low angle first:
d_spacing  Rel. int.
4.025  24
3.139  29
2.845  60
2.562  48
2.490  61
2.397  100
2.328  33
2.028  33
2.020  69
2.013  25

Structural model:
```
PuTh2Si2Rh7
1.0
2.872 -2.849 0.000
2.872 2.849 0.000
-1.889 0.000 13.293
Pu Th Si Rh
1 2 2 7
Direct
0.000 0.000 0.000 Pu
0.109 0.109 0.349 Th
0.891 0.891 0.651 Th
0.418 0.418 0.749 Si
0.582 0.582 0.251 Si
0.052 0.552 0.159 Rh
0.355 0.355 0.572 Rh
0.448 0.948 0.841 Rh
0.500 0.500 0.000 Rh
0.552 0.052 0.159 Rh
0.645 0.645 0.428 Rh
0.948 0.448 0.841 Rh
```